[1]
Structure and simulated PXRD pattern of Pa3AlGa (a crystal structure in Alexandria, relaxed with GGA-PBE; Cu Kα X-rays).

Most intense lines, 2θ = 10–90°, most intense first:
2θ/deg, d (Å), I_rel
35.47, 2.531, 100
37.46, 2.401, 61
26.25, 3.395, 29
66.30, 1.410, 23
62.37, 1.489, 21
54.02, 1.698, 16
39.36, 2.289, 16
16.51, 5.368, 15
51.04, 1.789, 14
73.85, 1.283, 13

Crystal structure
```
20
Lattice="7.592 0.000 0.000 0.000 7.592 0.000 0.000 0.000 7.592" Properties=species:S:1:pos:R:3 pbc="T T T"
Pa 0.310 0.967 5.997
Pa 0.967 5.997 0.310
Pa 1.595 4.106 2.829
Pa 2.201 3.486 6.625
Pa 2.829 1.595 4.106
Pa 3.486 6.625 2.201
Pa 4.106 2.829 1.595
Pa 4.763 5.391 7.282
Pa 5.391 7.282 4.763
Pa 5.997 0.310 0.967
Pa 6.625 2.201 3.486
Pa 7.282 4.763 5.391
Al 1.370 1.370 1.370
Al 2.426 6.222 5.166
Al 5.166 2.426 6.222
Al 6.222 5.166 2.426
Ga 0.528 7.064 3.268
Ga 3.268 0.528 7.064
Ga 4.324 4.324 4.324
Ga 7.064 3.268 0.528
```


[2]
Structure and simulated PXRD pattern of PaAl2GaPt4 (a crystal structure in Alexandria, relaxed with GGA-PBE; Cu Kα X-rays).

Most intense lines, 2θ = 10–90°, most intense first:
2θ/deg, d (Å), I_rel
42.13, 2.145, 100
36.88, 2.437, 90
34.25, 2.618, 41
27.70, 3.220, 30
24.94, 3.570, 30
70.07, 1.343, 27
57.21, 1.610, 26
29.62, 3.016, 25
73.55, 1.288, 25
77.01, 1.238, 17

Crystal structure
```
8
Lattice="2.145 1.238 8.612 -2.145 1.238 8.612 0.000 -2.477 8.612" Properties=species:S:1:pos:R:3 pbc="T T T"
Pa 0.000 0.000 0.000
Al 0.000 0.000 6.241
Al 0.000 0.000 19.594
Ga 0.000 0.000 12.917
Pt 0.000 0.000 3.430
Pt 0.000 0.000 10.242
Pt 0.000 0.000 15.593
Pt 0.000 0.000 22.405
```


[3]
Structure and simulated PXRD pattern of Sm2PaAl3Ga6 (a crystal structure in Alexandria, relaxed with GGA-PBE; Cu Kα X-rays).

Most intense lines, 2θ = 10–90°, most intense first:
2θ/deg, d (Å), I_rel
35.80, 2.508, 100
38.65, 2.330, 50
42.99, 2.104, 47
74.06, 1.280, 38
59.17, 1.562, 34
28.58, 3.124, 32
32.71, 2.738, 27
30.03, 2.976, 24
21.11, 4.208, 23
24.69, 3.606, 22

Crystal structure
```
12
Lattice="4.208 0.000 0.000 0.000 4.208 0.000 0.000 0.000 13.987" Properties=species:S:1:pos:R:3 pbc="T T T"
Sm 0.000 0.000 1.836
Sm 0.000 0.000 12.151
Pa 0.000 0.000 6.993
Al 2.104 2.104 0.000
Al 2.104 2.104 5.808
Al 2.104 2.104 8.179
Ga 0.000 2.104 4.295
Ga 0.000 2.104 9.692
Ga 2.104 0.000 4.295
Ga 2.104 0.000 9.692
Ga 2.104 2.104 2.552
Ga 2.104 2.104 11.435
```


[4]
Structure and simulated PXRD pattern of PaTaAlGa2 (a crystal structure in Alexandria, relaxed with GGA-PBE; Cu Kα X-rays).

Most intense lines, 2θ = 10–90°, most intense first:
2θ/deg, d (Å), I_rel
35.10, 2.557, 100
31.65, 2.827, 68
23.46, 3.793, 42
44.03, 2.057, 41
45.37, 1.999, 37
56.38, 1.632, 36
77.10, 1.237, 29
65.07, 1.433, 24
29.80, 2.998, 16
88.58, 1.104, 14

Crystal structure
```
5
Lattice="-1.999 1.999 5.996 1.999 -1.999 5.996 1.999 1.999 -5.996" Properties=species:S:1:pos:R:3 pbc="T T T"
Pa 0.000 0.000 0.000
Ta 1.999 0.000 2.998
Al 0.000 1.999 2.998
Ga 0.000 0.000 4.762
Ga 0.000 0.000 7.230
```


[5]
Structure and simulated PXRD pattern of Y2PaAl3Ga6 (a crystal structure in Alexandria, relaxed with GGA-PBE; Cu Kα X-rays).

Most intense lines, 2θ = 10–90°, most intense first:
2θ/deg, d (Å), I_rel
36.03, 2.493, 100
43.38, 2.086, 47
38.77, 2.323, 41
32.96, 2.718, 37
59.54, 1.553, 35
24.85, 3.582, 30
74.79, 1.269, 23
28.72, 3.108, 22
30.30, 2.950, 17
63.02, 1.475, 15

Crystal structure
```
12
Lattice="4.172 0.000 0.000 0.000 4.172 0.000 0.000 0.000 13.981" Properties=species:S:1:pos:R:3 pbc="T T T"
Y 0.000 0.000 1.830
Y 0.000 0.000 12.151
Pa 0.000 0.000 6.991
Al 2.086 2.086 0.000
Al 2.086 2.086 5.806
Al 2.086 2.086 8.176
Ga 0.000 2.086 4.268
Ga 0.000 2.086 9.713
Ga 2.086 0.000 4.268
Ga 2.086 0.000 9.713
Ga 2.086 2.086 2.519
Ga 2.086 2.086 11.462
```


[6]
Structure and simulated PXRD pattern of AlGaPb (a crystal structure in Alexandria, relaxed with GGA-PBE; Cu Kα X-rays).

Most intense lines, 2θ = 10–90°, most intense first:
2θ/deg, d (Å), I_rel
31.83, 2.811, 100
32.91, 2.721, 92
22.48, 3.955, 36
35.01, 2.563, 31
16.03, 5.528, 28
39.90, 2.259, 27
54.11, 1.695, 27
23.73, 3.750, 22
37.62, 2.391, 22
62.13, 1.494, 19

Crystal structure
```
6
Lattice="4.668 -3.750 0.000 4.668 3.750 0.000 -2.178 0.000 3.959" Properties=species:S:1:pos:R:3 pbc="T T T"
Al 0.146 0.000 1.371
Al 7.013 0.000 2.588
Ga 2.344 1.014 2.586
Ga 4.815 1.014 1.373
Pb 2.917 -1.385 0.314
Pb 4.242 -1.385 3.645
```


[7]
Structure and simulated PXRD pattern of Al8Ga2Pd (a crystal structure in Alexandria, relaxed with GGA-PBE; Cu Kα X-rays).

Most intense lines, 2θ = 10–90°, most intense first:
2θ/deg, d (Å), I_rel
38.42, 2.343, 100
39.07, 2.305, 96
45.50, 1.993, 61
65.25, 1.430, 40
26.06, 3.420, 34
44.13, 2.052, 34
22.01, 4.038, 25
16.57, 5.350, 24
78.91, 1.213, 22
80.15, 1.197, 22

Crystal structure
```
11
Lattice="7.267 -2.052 0.000 7.267 2.052 0.000 -1.735 0.000 6.017" Properties=species:S:1:pos:R:3 pbc="T T T"
Al 0.231 0.000 1.374
Al 0.797 0.000 4.062
Al 3.644 0.000 3.552
Al 5.892 0.000 0.352
Al 6.906 0.000 5.665
Al 9.154 0.000 2.465
Al 12.001 0.000 1.955
Al 12.567 0.000 4.643
Ga 2.973 0.000 0.803
Ga 9.825 0.000 5.214
Pd 6.399 0.000 3.008
```


[8]
Structure and simulated PXRD pattern of AlGaPd4 (a crystal structure in Alexandria, relaxed with GGA-PBE; Cu Kα X-rays).

Most intense lines, 2θ = 10–90°, most intense first:
2θ/deg, d (Å), I_rel
36.81, 2.442, 100
40.64, 2.220, 66
36.05, 2.492, 48
48.47, 1.878, 38
41.13, 2.195, 24
40.99, 2.202, 23
65.36, 1.428, 23
38.95, 2.312, 22
47.90, 1.899, 22
41.33, 2.185, 19

Crystal structure
```
24
Lattice="6.659 0.000 0.000 0.000 3.756 0.000 0.000 0.000 14.673" Properties=species:S:1:pos:R:3 pbc="T T T"
Al 1.572 0.939 0.790
Al 1.758 2.817 8.127
Al 4.901 0.939 6.547
Al 5.088 2.817 13.883
Ga 1.612 2.817 4.491
Ga 1.717 0.939 11.827
Ga 4.942 2.817 2.846
Ga 5.047 0.939 10.183
Pd 0.034 0.939 8.359
Pd 0.417 2.817 10.497
Pd 0.712 2.817 2.180
Pd 1.048 2.817 13.730
Pd 2.281 0.939 6.393
Pd 2.618 0.939 9.517
Pd 2.913 0.939 3.160
Pd 3.295 2.817 1.022
Pd 3.364 0.939 13.652
Pd 3.747 2.817 11.513
Pd 4.042 2.817 5.157
Pd 4.378 2.817 8.280
Pd 5.611 0.939 0.944
Pd 5.948 0.939 12.493
Pd 6.242 0.939 4.176
Pd 6.625 2.817 6.315
```